Diffraction record for SrMgV2O6. The X-ray powder pattern is simulated, not measured: it uses a structure optimized by DFT (PBE+U) and copper Kα.
Peak positions follow from Bragg's law for the DFT cell and can differ from measured ones.

Main lines, low angle first (2θ from 10° to 90°):
| 2θ/deg | d/Å | I (rel.) | h k l |
| --- | --- | --- | --- |
| 14.87 | 5.959 | 45 | 0 0 3 |
| 20.41 | 4.351 | 100 | 1 0 1 |
| 28.18 | 3.166 | 26 | 1 0 4 |
| 29.99 | 2.979 | 20 | 0 0 6 |
| 32.01 | 2.796 | 46 | 0 1 5 |
| 34.63 | 2.590 | 54 | 1 1 0 |
| 37.87 | 2.376 | 18 | 2 -1 3 |
| 46.45 | 1.955 | 97 | 2 -1 6 |
| 47.87 | 1.900 | 16 | 2 0 5 |
| 62.06 | 1.495 | 29 | 3 0 0 |

```
data_SrMgV2O6
_cell_length_a 5.1805
_cell_length_b 5.1805
_cell_length_c 17.8762
_cell_angle_alpha 90.00
_cell_angle_beta 90.00
_cell_angle_gamma 120.00
_symmetry_space_group_name_H-M 'R -3'
_symmetry_Int_Tables_number 148
_symmetry_space_group_name_Hall '-R 3'
loop_
_atom_site_label
_atom_site_type_symbol
_atom_site_fract_x
_atom_site_fract_y
_atom_site_fract_z
Sr1 Sr 0.0000 0.0000 0.0000
Mg1 Mg 0.0000 0.0000 0.5000
V1 V 0.0000 0.0000 0.1782
O1 O 0.0058 0.3553 0.5584
```